Computed XRD peak list of Li3Fe3SiO8 for copper Kα, from the PBE+U geometry in Alexandria.
Kinematic intensities with the Lorentz-polarization factor, no thermal factor.

The 8 most intense peaks (10° ≤ 2θ ≤ 90°), by angle:
h k l, Position (°2θ), I/Imax
0 0 1, 18.05, 100
2 0 -1, 35.50, 12
1 2 0, 36.38, 20
2 0 -2, 42.73, 22
1 2 1, 43.79, 42
1 2 2, 57.31, 10
1 2 -3, 62.34, 11
3 2 -1, 63.35, 11

Cell and atoms:
```
Li3Fe3SiO8
1.0
5.122 0.000 0.000
0.000 5.752 0.000
-1.772 0.000 4.914
Li Fe Si O
3 3 1 8
Direct
0.000 0.000 0.000
0.500 0.258 0.000
0.500 0.742 0.000
0.000 0.250 0.500
0.000 0.750 0.500
0.500 0.000 0.500
0.500 0.500 0.500
0.226 0.000 0.743
0.277 0.500 0.702
0.285 0.264 0.296
0.285 0.736 0.296
0.715 0.264 0.704
0.715 0.736 0.704
0.723 0.500 0.298
0.774 0.000 0.257
```